Simulated powder diffraction line list
Compound: MnIn2Te4
Radiation: Cu Kα X-rays
Structure: a cell relaxed with PBE
Peak positions follow from Bragg's law for the DFT cell and can differ from measured ones.

Most intense lines, 10 to 80 degrees two-theta, by angle:
hkl 1 1 2, 24.5°, rel. 100
hkl 2 2 0, 40.4°, rel. 24
hkl 2 0 4, 40.5°, rel. 45
hkl 3 1 2, 47.8°, rel. 30
hkl 1 1 6, 48.0°, rel. 13
hkl 4 2 4, 73.6°, rel. 14

Structure:
```
data_MnIn2Te4
_cell_length_a 6.3140
_cell_length_b 6.3140
_cell_length_c 12.5609
_cell_angle_alpha 90.00
_cell_angle_beta 90.00
_cell_angle_gamma 90.00
_symmetry_space_group_name_H-M 'I -4 2 m'
_symmetry_Int_Tables_number 121
_symmetry_space_group_name_Hall 'I -4 2'
loop_
_atom_site_label
_atom_site_fract_x
_atom_site_fract_y
_atom_site_fract_z
_atom_site_occupancy
Mn1 0.0000 0.0000 0.0000 1
In1 0.0000 0.5000 0.2500 1
Te1 0.2346 0.2346 0.3894 1
```

=====

Simulated powder diffraction line list
Compound: Re3Ru
Radiation: Cu Kα X-rays
Structure: a cell relaxed with PBE
Peak positions follow from Bragg's law for the DFT cell and can differ from measured ones.

Most intense lines, 10 to 80 degrees two-theta, by angle:
hkl 1 0 1, 37.5°, rel. 27
hkl 0 4 0, 40.6°, rel. 39
hkl 0 2 2, 42.6°, rel. 53
hkl 1 2 1, 42.8°, rel. 100
hkl 1 0 3, 67.3°, rel. 18
hkl 1 6 1, 75.5°, rel. 19

Structure:
```
data_Re3Ru
_cell_length_a 2.7662
_cell_length_b 8.8803
_cell_length_c 4.8258
_cell_angle_alpha 90.00
_cell_angle_beta 90.00
_cell_angle_gamma 90.00
_symmetry_space_group_name_H-M 'I m m 2'
_symmetry_Int_Tables_number 44
_symmetry_space_group_name_Hall 'I 2 -2'
loop_
_atom_site_label
_atom_site_fract_x
_atom_site_fract_y
_atom_site_fract_z
_atom_site_occupancy
Re1 0.0000 0.0000 0.0000 1
Re2 0.0000 0.2484 0.3258 1
Ru1 0.0000 0.5000 0.9926 1
```